Calculated XRD peak list
Compound: LiGaSb
Radiation: copper Kα
Structure: a GGA-PBE-relaxed structure
Kinematic intensities with the Lorentz-polarization factor, no thermal factor.

Main lines, in order of rising 2θ (2θ = 5–70°):
2theta  d_spacing  I/Imax
19.40  4.575  676
23.46  3.791  746
26.20  3.402  862
29.92  2.987  640
33.66  2.662  600
36.38  2.469  401
36.51  2.461  1000
43.44  2.083  371

Cell and atoms:
```
12
Lattice="10.338 0.000 0.000 0.000 4.166 0.000 -3.256 0.000 6.190" Properties=species:S:1:pos:R:3 pbc="T T T"
Li -0.699 0.000 1.819
Li 2.612 2.083 4.371
Li 4.470 2.083 1.819
Li 7.781 0.000 4.371
Ga 1.261 2.083 0.356
Ga 0.651 0.000 5.834
Ga 6.430 0.000 0.356
Ga 5.820 2.083 5.834
Sb -0.297 2.083 4.248
Sb 2.210 0.000 1.942
Sb 4.872 0.000 4.248
Sb 7.379 2.083 1.942
```